[1]
This entry pairs a crystal structure of CsPb5Au3 with its theoretical X-ray diffraction stick pattern. Radiation: a wavelength of 1.5418 Å. Structure: DFT lattice parameters and positions (GGA-PBE).

Structural model:
Cell: 6.0149 6.0149 8.7122 Å, 90.00 90.00 120.00°
Positions (direct):
1 Cs 0.0000 0.0000 0.0000
2 Pb 0.0000 0.0000 0.5000
3 Pb 0.3333 0.6667 0.2187
4 Pb 0.3333 0.6667 0.7813
5 Pb 0.6667 0.3333 0.2187
6 Pb 0.6667 0.3333 0.7813
7 Au 0.0000 0.5000 0.5000
8 Au 0.5000 0.0000 0.5000
9 Au 0.5000 0.5000 0.5000

Top 10 peaks for 2θ = 10–90°, by angle:
- 2θ = 10.2°, intensity 62
- 2θ = 26.7°, intensity 46
- 2θ = 29.7°, intensity 60
- 2θ = 30.8°, intensity 25
- 2θ = 36.0°, intensity 45
- 2θ = 36.3°, intensity 30
- 2θ = 40.3°, intensity 100
- 2θ = 41.5°, intensity 21
- 2θ = 61.7°, intensity 26
- 2θ = 77.1°, intensity 21

***

[2]
This entry pairs a crystal structure of LaGd2SnPb6 with its theoretical X-ray diffraction stick pattern. Radiation: a wavelength of 1.5418 Å. Structure: DFT lattice parameters and positions (GGA-PBE).

Structural model:
Cell: 13.1725 13.1725 4.7513 Å, 90.00 90.00 159.33°
Positions (direct):
1 La 0.0000 0.0000 0.0000
2 Gd 0.1886 0.8114 0.0000
3 Gd 0.8114 0.1886 0.0000
4 Sn 0.5000 0.5000 0.5000
5 Pb 0.0986 0.9014 0.5000
6 Pb 0.2938 0.7062 0.5000
7 Pb 0.4023 0.5977 0.0000
8 Pb 0.5977 0.4023 0.0000
9 Pb 0.7062 0.2938 0.5000
10 Pb 0.9014 0.0986 0.5000

Top 10 peaks for 2θ = 10–90°, by angle:
- 2θ = 31.8°, intensity 100
- 2θ = 34.6°, intensity 18
- 2θ = 37.9°, intensity 16
- 2θ = 38.1°, intensity 16
- 2θ = 52.2°, intensity 12
- 2θ = 52.4°, intensity 11
- 2θ = 54.8°, intensity 11
- 2θ = 60.3°, intensity 13
- 2θ = 64.6°, intensity 14
- 2θ = 64.9°, intensity 13

***

[3]
This entry pairs a crystal structure of ScAuSO with its theoretical X-ray diffraction stick pattern. Radiation: a wavelength of 1.5418 Å. Structure: DFT lattice parameters and positions (GGA-PBE).

Structural model:
Cell: 5.2281 9.1031 5.3923 Å, 90.00 90.00 90.00°
Positions (direct):
1 Sc 0.0000 0.1092 0.2500
2 Sc 0.0000 0.8908 0.7500
3 Sc 0.5000 0.1092 0.7500
4 Sc 0.5000 0.8908 0.2500
5 Au 0.2500 0.5000 0.1630
6 Au 0.2500 0.5000 0.6630
7 Au 0.7500 0.5000 0.3370
8 Au 0.7500 0.5000 0.8370
9 S 0.0000 0.2735 0.7500
10 S 0.0000 0.7265 0.2500
11 S 0.5000 0.2735 0.2500
12 S 0.5000 0.7265 0.7500
13 O 0.2500 0.0000 0.0032
14 O 0.2500 0.0000 0.5032
15 O 0.7500 0.0000 0.4968
16 O 0.7500 0.0000 0.9968

Top 10 peaks for 2θ = 10–90°, by angle:
- 2θ = 19.5°, intensity 100
- 2θ = 29.4°, intensity 36
- 2θ = 35.7°, intensity 55
- 2θ = 37.5°, intensity 34
- 2θ = 38.9°, intensity 64
- 2θ = 39.8°, intensity 52
- 2θ = 42.6°, intensity 48
- 2θ = 48.4°, intensity 33
- 2θ = 53.4°, intensity 20
- 2θ = 55.7°, intensity 22